Starting from a crystal structure in Alexandria, relaxed with GGA-PBE, the powder X-ray diffraction pattern of BaAlTl was computed for copper Kα.
Neutral-atom scattering factors, no anomalous dispersion.

Largest 12 diffraction maxima, in order of rising 2θ, 2θ = 10–90°:
hkl	2theta	d_spacing	intensity
0 2 1	19.33	4.591	22
1 1 0	20.58	4.317	76
0 0 2	27.54	3.238	50
1 3 0	28.34	3.149	32
0 4 1	30.75	2.908	65
1 3 1	31.59	2.832	100
1 1 2	34.63	2.590	70
2 0 0	39.39	2.288	27
2 0 2	48.73	1.869	23
2 4 1	50.77	1.798	48
1 3 3	51.31	1.781	26
1 7 1	55.16	1.665	23

Crystal structure
Cell lengths 4.5754, 13.0197, 6.4767 Å; angles 90.00, 90.00, 90.00 degrees
Space group Cmcm (No. 63)
Unique sites:
Ba 0.0000 0.1913 0.2500
Al 0.0000 0.5000 0.0000
Tl 0.0000 0.0918 0.7500